Starting from the PBE geometry in the Materials Project, the powder diffraction line list of UBr was simulated for Cu Kα, 1.54184 Å.

Largest 10 diffraction maxima, by angle, 2θ from 10° to 90°:
2theta  I/Imax
18.73  214
30.46  397
36.00  1000
37.98  179
49.44  215
54.13  195
57.79  76
66.73  172
67.33  168
68.03  201

Cell and atoms:
Cell lengths 3.3888, 3.3888, 4.7379 Å; angles 90.00, 90.00, 120.00 degrees
Fractional coordinates of all 2 atoms:
1 U 0.0000 0.0000 0.0000
2 Br 0.3333 0.6667 0.5000

Starting from the PBE geometry in the Materials Project, the powder diffraction line list of ScI2 was simulated for Cu Kα, 1.54184 Å.

Largest 10 diffraction maxima, by angle, 2θ from 10° to 90°:
2theta  I/Imax
17.32  124
24.59  361
27.55  297
27.85  1000
35.06  261
35.30  206
43.50  278
45.35  263
52.08  145
74.22  139

Cell and atoms:
Cell lengths 7.2400, 7.2400, 4.1066 Å; angles 90.00, 90.00, 90.00 degrees
Fractional coordinates of all 6 atoms:
1 Sc 0.0000 0.0000 0.0000
2 Sc 0.5000 0.5000 0.5000
3 I 0.2067 0.2067 0.5000
4 I 0.2933 0.7067 0.0000
5 I 0.7067 0.2933 0.0000
6 I 0.7933 0.7933 0.5000

Starting from the PBE geometry in the Materials Project, the powder diffraction line list of Pr2CdPb was simulated for Cu Kα, 1.54184 Å.

Largest 10 diffraction maxima, by angle, 2θ from 10° to 90°:
2theta  I/Imax
19.63  46
32.33  1000
38.11  29
46.37  184
50.81  14
57.66  384
67.67  119
71.22  11
77.00  165
85.98  43

Cell and atoms:
Cell lengths 7.8327, 7.8327, 7.8327 Å; angles 90.00, 90.00, 90.00 degrees
Fractional coordinates of all 16 atoms:
1 Pr 0.2500 0.2500 0.2500
2 Pr 0.2500 0.2500 0.7500
3 Pr 0.2500 0.7500 0.2500
4 Pr 0.2500 0.7500 0.7500
5 Pr 0.7500 0.2500 0.2500
6 Pr 0.7500 0.2500 0.7500
7 Pr 0.7500 0.7500 0.2500
8 Pr 0.7500 0.7500 0.7500
9 Cd 0.0000 0.0000 0.0000
10 Cd 0.0000 0.5000 0.5000
11 Cd 0.5000 0.0000 0.5000
12 Cd 0.5000 0.5000 0.0000
13 Pb 0.0000 0.0000 0.5000
14 Pb 0.0000 0.5000 0.0000
15 Pb 0.5000 0.0000 0.0000
16 Pb 0.5000 0.5000 0.5000

Starting from the PBE geometry in the Materials Project, the powder diffraction line list of Y2ZnGa was simulated for Cu Kα, 1.54184 Å.

Largest 7 diffraction maxima, by angle, 2θ from 10° to 90°:
2theta  I/Imax
24.91  17
35.52  1000
51.10  172
57.66  6
63.78  343
75.18  104
86.00  146

Cell and atoms:
Cell lengths 7.1491, 7.1491, 7.1491 Å; angles 90.00, 90.00, 90.00 degrees
Fractional coordinates of all 16 atoms:
1 Y 0.2500 0.2500 0.2500
2 Y 0.2500 0.2500 0.7500
3 Y 0.2500 0.7500 0.2500
4 Y 0.2500 0.7500 0.7500
5 Y 0.7500 0.2500 0.2500
6 Y 0.7500 0.2500 0.7500
7 Y 0.7500 0.7500 0.2500
8 Y 0.7500 0.7500 0.7500
9 Zn 0.0000 0.0000 0.0000
10 Zn 0.0000 0.5000 0.5000
11 Zn 0.5000 0.0000 0.5000
12 Zn 0.5000 0.5000 0.0000
13 Ga 0.0000 0.0000 0.5000
14 Ga 0.0000 0.5000 0.0000
15 Ga 0.5000 0.0000 0.0000
16 Ga 0.5000 0.5000 0.5000

Starting from the PBE geometry in the Materials Project, the powder diffraction line list of TlPd3 was simulated for Cu Kα, 1.54184 Å.

Largest 10 diffraction maxima, by angle, 2θ from 10° to 90°:
2theta  I/Imax
22.06  59
27.31  32
38.13  1000
43.43  346
46.05  146
63.10  113
65.15  205
76.17  261
79.93  115
81.58  109

Cell and atoms:
Cell lengths 4.1672, 4.1672, 15.7692 Å; angles 90.00, 90.00, 90.00 degrees
Fractional coordinates of all 16 atoms:
1 Tl 0.0000 0.0000 0.1249
2 Tl 0.0000 0.0000 0.8751
3 Tl 0.5000 0.5000 0.3751
4 Tl 0.5000 0.5000 0.6249
5 Pd 0.0000 0.0000 0.3736
6 Pd 0.0000 0.0000 0.6264
7 Pd 0.0000 0.5000 0.0000
8 Pd 0.0000 0.5000 0.2500
9 Pd 0.0000 0.5000 0.5000
10 Pd 0.0000 0.5000 0.7500
11 Pd 0.5000 0.0000 0.0000
12 Pd 0.5000 0.0000 0.2500
13 Pd 0.5000 0.0000 0.5000
14 Pd 0.5000 0.0000 0.7500
15 Pd 0.5000 0.5000 0.1264
16 Pd 0.5000 0.5000 0.8736

Starting from the PBE geometry in the Materials Project, the powder diffraction line list of KLiSO4 was simulated for Cu Kα, 1.54184 Å.

Largest 10 diffraction maxima, by angle, 2θ from 10° to 90°:
2theta  I/Imax
20.14  111
22.12  1000
28.29  808
34.40  406
35.92  176
40.19  226
40.94  175
45.12  103
57.94  137
61.62  154

Cell and atoms:
Cell lengths 5.2137, 5.2137, 8.8186 Å; angles 90.00, 90.00, 120.00 degrees
Fractional coordinates of all 14 atoms:
1 K 0.0000 0.0000 0.0000
2 K 0.0000 0.0000 0.5000
3 Li 0.3333 0.6667 0.3128
4 Li 0.6667 0.3333 0.8128
5 S 0.3333 0.6667 0.7024
6 S 0.6667 0.3333 0.2024
7 O 0.0597 0.3993 0.7574
8 O 0.3333 0.6667 0.5334
9 O 0.3396 0.9403 0.7574
10 O 0.3993 0.3396 0.2574
11 O 0.6007 0.6604 0.7574
12 O 0.6604 0.0597 0.2574
13 O 0.6667 0.3333 0.0334
14 O 0.9403 0.6007 0.2574